1.
Starting from a structure optimized by DFT (GGA-PBE), the powder XRD pattern of AcSmMg10 was computed for Cu Kα (weighted mean of Kα1 and Kα2).
Neutral-atom scattering factors, no anomalous dispersion.

Principal peaks in the range 2θ = 10–90°, by angle:
| hkl | 2θ (°) | intensity |
| --- | --- | --- |
| 0 1 1 | 16.87 | 60 |
| 1 0 0 | 17.82 | 26 |
| 1 1 1 | 24.64 | 100 |
| 0 2 0 | 29.44 | 42 |
| 0 0 4 | 34.13 | 36 |
| 1 2 0 | 34.63 | 84 |
| 2 0 0 | 36.09 | 18 |
| 2 2 0 | 47.24 | 23 |
| 1 2 4 | 49.41 | 31 |
| 2 0 4 | 50.51 | 24 |
| 1 3 3 | 55.63 | 21 |
| 3 2 0 | 63.95 | 16 |

Structural model:
```
data_AcSmMg10
_cell_length_a 4.9774
_cell_length_b 6.0737
_cell_length_c 10.4986
_cell_angle_alpha 90.00
_cell_angle_beta 90.00
_cell_angle_gamma 90.00
_space_group_name_H-M_alt 'P m m m'
_space_group_IT_number 47
loop_
_space_group_symop_operation_xyz
'x,y,z'
'-x,-y,-z'
'-x,-y,z'
'x,y,-z'
'x,-y,-z'
'-x,y,z'
'-x,y,-z'
'x,-y,z'
loop_
_atom_site_label
_atom_site_type_symbol
_atom_site_fract_x
_atom_site_fract_y
_atom_site_fract_z
Ac1 Ac 0.0000 0.0000 0.0000
Sm1 Sm 0.0000 0.5000 0.5000
Mg1 Mg 0.0000 0.0000 0.3400
Mg2 Mg 0.0000 0.5000 0.1756
Mg3 Mg 0.5000 0.0000 0.5000
Mg4 Mg 0.5000 0.2523 0.2550
Mg5 Mg 0.5000 0.5000 0.0000
```

---

2.
Starting from a structure optimized by DFT (GGA-PBE), the powder XRD pattern of Ac4Sm3Mg was computed for Cu Kα (weighted mean of Kα1 and Kα2).
Neutral-atom scattering factors, no anomalous dispersion.

Principal peaks in the range 2θ = 10–90°, by angle:
| hkl | 2θ (°) | intensity |
| --- | --- | --- |
| 1 0 0 | 22.68 | 8 |
| 1 0 4 | 28.99 | 100 |
| 1 1 0 | 32.29 | 40 |
| 0 0 8 | 36.09 | 12 |
| 2 0 0 | 46.32 | 15 |
| 1 1 8 | 49.20 | 20 |
| 2 1 4 | 55.58 | 33 |
| 2 0 8 | 60.08 | 11 |
| 1 0 12 | 60.60 | 8 |
| 3 0 4 | 75.17 | 7 |
| 2 1 12 | 79.54 | 8 |
| 3 1 8 | 88.01 | 8 |

Structural model:
```
data_Ac4Sm3Mg
_cell_length_a 3.9203
_cell_length_b 3.9203
_cell_length_c 19.9095
_cell_angle_alpha 90.00
_cell_angle_beta 90.00
_cell_angle_gamma 90.00
_space_group_name_H-M_alt 'P 4/m m m'
_space_group_IT_number 123
_space_group_name_Hall '-P 4 2'
loop_
_atom_site_label
_atom_site_type_symbol
_atom_site_fract_x
_atom_site_fract_y
_atom_site_fract_z
Ac1 Ac 0.0000 0.0000 0.1112
Ac2 Ac 0.0000 0.0000 0.3711
Sm1 Sm 0.5000 0.5000 0.2423
Sm2 Sm 0.5000 0.5000 0.5000
Mg1 Mg 0.5000 0.5000 0.0000
```